No. 1
Structure and simulated powder diffraction line list of TmNi3B (a DFT-relaxed cell (GGA-PBE, Alexandria); Cu Kα (weighted mean of Kα1 and Kα2)).
Kinematic intensities with the Lorentz-polarization factor, no thermal factor.

Structural model:
Lattice parameters (Å, degrees): 5.594 5.594 9.224 90.00 90.00 120.00
Positions (direct):
Tm 0.000 0.000 0.000
Tm 0.000 0.000 0.500
Tm 0.333 0.667 0.250
Tm 0.667 0.333 0.750
Ni 0.000 0.500 0.000
Ni 0.000 0.500 0.500
Ni 0.154 0.308 0.750
Ni 0.154 0.846 0.750
Ni 0.308 0.154 0.250
Ni 0.500 0.000 0.000
Ni 0.500 0.000 0.500
Ni 0.500 0.500 0.000
Ni 0.500 0.500 0.500
Ni 0.692 0.846 0.750
Ni 0.846 0.154 0.250
Ni 0.846 0.692 0.250
B 0.333 0.667 0.641
B 0.333 0.667 0.859
B 0.667 0.333 0.141
B 0.667 0.333 0.359

The 10 most intense peaks (10° ≤ 2θ ≤ 90°), by angle:
2θ (°), I (rel.)
20.71, 15
26.69, 21
32.00, 18
38.42, 40
39.06, 36
42.14, 100
47.80, 23
66.91, 21
72.87, 18
80.29, 23


No. 2
Structure and simulated powder diffraction line list of Dy2YErTm6 (a DFT-relaxed cell (GGA-PBE, Alexandria); Cu Kα (weighted mean of Kα1 and Kα2)).
Kinematic intensities with the Lorentz-polarization factor, no thermal factor.

Structural model:
Lattice parameters (Å, degrees): 8.681 8.681 9.435 93.91 93.91 118.21
Positions (direct):
Dy 0.195 0.304 0.456
Dy 0.304 0.195 0.956
Dy 0.696 0.805 0.044
Dy 0.805 0.696 0.544
Y 0.478 0.522 0.750
Y 0.522 0.478 0.250
Er 0.091 0.909 0.250
Er 0.909 0.091 0.750
Tm 0.002 0.789 0.881
Tm 0.071 0.521 0.685
Tm 0.211 0.998 0.619
Tm 0.250 0.628 0.057
Tm 0.372 0.750 0.443
Tm 0.479 0.929 0.815
Tm 0.521 0.071 0.185
Tm 0.628 0.250 0.557
Tm 0.750 0.372 0.943
Tm 0.789 0.002 0.381
Tm 0.929 0.479 0.315
Tm 0.998 0.211 0.119

The 10 most intense peaks (10° ≤ 2θ ≤ 90°), by angle:
2θ (°), I (rel.)
29.00, 29
31.15, 100
31.69, 41
32.02, 85
32.74, 15
34.34, 55
35.09, 12
38.71, 11
51.64, 13
57.40, 13